Simulated X-ray diffraction stick pattern
Compound: NbP4S5Cl5
Radiation: Cu Kα (weighted mean of Kα1 and Kα2)
Structure: a cell relaxed with PBE

Structural model:
```
NbP4S5Cl5
1.0
7.215 0.000 0.000
0.000 14.478 0.000
-4.926 0.000 18.388
Nb P S Cl
4 16 20 20
Cartesian
1.440 2.825 0.670 Nb
-1.022 4.414 9.864 Nb
3.311 10.064 8.524 Nb
0.848 11.654 17.718 Nb
-3.347 7.457 14.889 P
-0.884 14.261 5.695 P
-1.671 2.091 11.327 P
0.792 5.148 2.133 P
-1.655 2.459 13.626 P
0.808 4.780 4.432 P
1.933 7.904 3.626 P
-0.530 13.813 12.820 P
2.819 0.665 5.568 P
0.356 6.574 14.762 P
1.481 9.698 13.956 P
3.944 12.019 4.762 P
1.497 9.330 16.255 P
3.960 12.387 7.061 P
3.173 0.218 12.693 P
5.635 7.022 3.499 P
-3.599 1.758 14.098 S
-1.136 5.481 4.904 S
-3.793 8.585 16.653 S
-1.330 13.132 7.459 S
-0.101 8.548 3.677 S
-2.564 13.169 12.871 S
-0.298 0.518 11.046 S
2.164 6.721 1.852 S
-0.305 0.933 14.218 S
2.157 6.306 5.024 S
0.131 8.172 13.364 S
2.594 13.545 4.170 S
0.124 7.757 16.535 S
2.587 13.960 7.341 S
4.853 1.309 5.517 S
2.390 5.930 14.711 S
3.619 1.346 10.929 S
6.082 5.893 1.735 S
3.425 8.997 13.484 S
5.888 12.720 4.290 S
-1.990 10.635 9.752 Cl
0.473 11.082 0.558 Cl
0.020 1.943 2.338 Cl
-2.442 5.296 11.532 Cl
-2.927 0.871 18.007 Cl
-0.464 6.368 8.813 Cl
0.212 2.905 8.542 Cl
-2.251 4.334 17.736 Cl
1.581 10.149 6.922 Cl
-0.882 11.569 16.116 Cl
3.170 2.910 2.272 Cl
0.708 4.329 11.466 Cl
4.540 10.145 0.652 Cl
2.077 11.573 9.846 Cl
2.753 8.110 9.574 Cl
5.216 13.607 0.381 Cl
4.731 9.182 6.856 Cl
2.269 12.536 16.050 Cl
1.816 3.396 17.830 Cl
4.279 3.843 8.636 Cl
```

Principal peaks in the range 2θ from 5° to 70°, by angle:
2θ 11.40, d = 7.761 Å, I 69.9, (0 1 2); 2θ 13.81, d = 6.412 Å, I 33.6, (1 0 -2); 2θ 14.10, d = 6.279 Å, I 100.0, (1 1 0); 2θ 15.12, d = 5.861 Å, I 20.5, (1 1 -2); 2θ 15.58, d = 5.688 Å, I 78.3, (0 2 2); 2θ 15.70, d = 5.644 Å, I 43.7, (0 1 3); 2θ 18.91, d = 4.693 Å, I 27.1, (1 1 2); 2θ 24.87, d = 3.580 Å, I 33.1, (1 3 -3); 2θ 27.79, d = 3.210 Å, I 22.7, (2 2 -2); 2θ 28.64, d = 3.117 Å, I 22.8, (0 4 3)